(1)
The following is a simulated X-ray diffraction stick pattern of AgTeSe2. It was derived from a cell relaxed with GGA-PBE, using CuKα.
No peak broadening, texture or thermal motion is included.

Peak list (8 most intense, 10° ≤ 2θ ≤ 80°, by intensity)
2θ 25.75, d 3.460, rel. 100
2θ 40.62, d 2.221, rel. 45
2θ 33.24, d 2.696, rel. 40
2θ 25.57, d 3.484, rel. 39
2θ 34.44, d 2.604, rel. 36
2θ 49.48, d 1.842, rel. 28
2θ 51.79, d 1.765, rel. 22
2θ 46.33, d 1.960, rel. 17

Structural model:
Cell lengths 3.919, 7.908, 7.369 Å; angles 90.00, 90.00, 90.00 degrees
Sites, in units of the cell vectors:
Ag 0.000 0.172 0.000
Ag 0.500 0.828 0.500
Te 0.000 0.707 0.012
Te 0.500 0.293 0.512
Se 0.000 0.443 0.204
Se 0.000 0.926 0.271
Se 0.500 0.074 0.771
Se 0.500 0.557 0.704


(2)
The following is a simulated X-ray diffraction stick pattern of TmBe3Pd10. It was derived from a cell relaxed with GGA-PBE, using CuKα.
No peak broadening, texture or thermal motion is included.

Peak list (8 most intense, 10° ≤ 2θ ≤ 80°, by intensity)
2θ 39.54, d 2.279, rel. 100
2θ 33.85, d 2.648, rel. 62
2θ 45.30, d 2.002, rel. 47
2θ 37.19, d 2.417, rel. 38
2θ 67.06, d 1.396, rel. 31
2θ 43.22, d 2.093, rel. 25
2θ 79.26, d 1.209, rel. 21
2θ 64.93, d 1.436, rel. 20

Structural model:
Cell lengths 8.374, 8.374, 8.374 Å; angles 60.00, 60.00, 60.00 degrees
Sites, in units of the cell vectors:
Tm 0.250 0.250 0.250
Tm 0.750 0.750 0.750
Be 0.228 0.228 0.772
Be 0.228 0.772 0.228
Be 0.228 0.772 0.772
Be 0.772 0.228 0.228
Be 0.772 0.228 0.772
Be 0.772 0.772 0.228
Pd 0.118 0.118 0.118
Pd 0.118 0.118 0.647
Pd 0.118 0.647 0.118
Pd 0.163 0.500 0.500
Pd 0.163 0.500 0.837
Pd 0.163 0.837 0.500
Pd 0.353 0.882 0.882
Pd 0.500 0.163 0.500
Pd 0.500 0.163 0.837
Pd 0.500 0.500 0.163
Pd 0.500 0.500 0.837
Pd 0.500 0.837 0.163
Pd 0.500 0.837 0.500
Pd 0.647 0.118 0.118
Pd 0.837 0.163 0.500
Pd 0.837 0.500 0.163
Pd 0.837 0.500 0.500
Pd 0.882 0.353 0.882
Pd 0.882 0.882 0.353
Pd 0.882 0.882 0.882


(3)
The following is a simulated X-ray diffraction stick pattern of Pm6Dy5Ho. It was derived from a cell relaxed with GGA-PBE, using CuKα.
No peak broadening, texture or thermal motion is included.

Peak list (8 most intense, 10° ≤ 2θ ≤ 80°, by intensity)
2θ 30.47, d 2.934, rel. 100
2θ 35.26, d 2.546, rel. 34
2θ 60.33, d 1.534, rel. 29
2θ 50.88, d 1.795, rel. 24
2θ 35.48, d 2.530, rel. 17
2θ 60.62, d 1.528, rel. 14
2θ 63.42, d 1.467, rel. 12
2θ 50.72, d 1.800, rel. 12

Structural model:
Cell lengths 9.507, 9.507, 9.507 Å; angles 148.93, 115.68, 73.15 degrees
Sites, in units of the cell vectors:
Pm 0.083 0.333 0.750
Pm 0.250 0.000 0.250
Pm 0.416 0.667 0.750
Pm 0.584 0.333 0.250
Pm 0.750 0.000 0.750
Pm 0.917 0.667 0.250
Dy 0.167 0.167 0.000
Dy 0.333 0.833 0.500
Dy 0.500 0.500 0.000
Dy 0.667 0.167 0.500
Dy 0.833 0.833 0.000
Ho 0.000 0.500 0.500


(4)
The following is a simulated X-ray diffraction stick pattern of FeSiN. It was derived from a cell relaxed with GGA-PBE, using CuKα.
No peak broadening, texture or thermal motion is included.

Peak list (8 most intense, 10° ≤ 2θ ≤ 80°, by intensity)
2θ 14.44, d 6.132, rel. 100
2θ 40.05, d 2.251, rel. 63
2θ 42.44, d 2.130, rel. 31
2θ 37.63, d 2.391, rel. 30
2θ 44.57, d 2.033, rel. 25
2θ 56.34, d 1.633, rel. 25
2θ 49.12, d 1.855, rel. 24
2θ 27.01, d 3.302, rel. 20

Structural model:
Cell lengths 4.029, 2.715, 6.137 Å; angles 90.00, 92.44, 90.00 degrees
Sites, in units of the cell vectors:
Fe 0.000 0.000 0.000
Fe 0.446 0.500 0.795
Si 0.499 0.500 0.155
Si 0.753 0.000 0.586
N 0.151 0.000 0.707
N 0.694 0.000 0.297


(5)
The following is a simulated X-ray diffraction stick pattern of FeCu2Hg. It was derived from a cell relaxed with GGA-PBE, using CuKα.
No peak broadening, texture or thermal motion is included.

Peak list (8 most intense, 10° ≤ 2θ ≤ 80°, by intensity)
2θ 40.44, d 2.231, rel. 100
2θ 25.60, d 3.479, rel. 35
2θ 46.19, d 1.965, rel. 34
2θ 69.37, d 1.355, rel. 19
2θ 48.70, d 1.870, rel. 14
2θ 23.79, d 3.740, rel. 12
2θ 32.21, d 2.779, rel. 12
2θ 67.39, d 1.390, rel. 11

Structural model:
Cell lengths 3.931, 3.931, 7.480 Å; angles 90.00, 90.00, 90.00 degrees
Sites, in units of the cell vectors:
Fe 0.000 0.000 0.000
Fe 0.500 0.500 0.500
Cu 0.000 0.000 0.500
Cu 0.000 0.500 0.250
Cu 0.500 0.000 0.750
Cu 0.500 0.500 0.000
Hg 0.000 0.500 0.750
Hg 0.500 0.000 0.250


(6)
The following is a simulated X-ray diffraction stick pattern of Tb8Tm6Cd. It was derived from a cell relaxed with GGA-PBE, using CuKα.
No peak broadening, texture or thermal motion is included.

Peak list (8 most intense, 10° ≤ 2θ ≤ 80°, by intensity)
2θ 32.69, d 2.739, rel. 100
2θ 29.29, d 3.050, rel. 24
2θ 34.64, d 2.590, rel. 18
2θ 51.93, d 1.761, rel. 18
2θ 28.65, d 3.115, rel. 16
2θ 41.43, d 2.180, rel. 15
2θ 62.73, d 1.481, rel. 12
2θ 26.32, d 3.386, rel. 11

Structural model:
Cell lengths 9.317, 9.317, 6.231 Å; angles 90.00, 90.00, 120.00 degrees
Sites, in units of the cell vectors:
Tb 0.041 0.268 0.311
Tb 0.227 0.959 0.311
Tb 0.268 0.227 0.689
Tb 0.333 0.667 0.309
Tb 0.667 0.333 0.691
Tb 0.732 0.773 0.311
Tb 0.773 0.041 0.689
Tb 0.959 0.732 0.689
Tm 0.095 0.456 0.815
Tm 0.361 0.905 0.815
Tm 0.456 0.361 0.185
Tm 0.544 0.639 0.815
Tm 0.639 0.095 0.185
Tm 0.905 0.544 0.185
Cd 0.000 0.000 0.000


(7)
The following is a simulated X-ray diffraction stick pattern of Tm2Ga5Cu5. It was derived from a cell relaxed with GGA-PBE, using CuKα.
No peak broadening, texture or thermal motion is included.

Peak list (8 most intense, 10° ≤ 2θ ≤ 80°, by intensity)
2θ 40.70, d 2.217, rel. 100
2θ 29.60, d 3.018, rel. 49
2θ 41.23, d 2.189, rel. 48
2θ 44.86, d 2.020, rel. 35
2θ 33.81, d 2.651, rel. 33
2θ 39.72, d 2.269, rel. 31
2θ 65.93, d 1.417, rel. 23
2θ 39.00, d 2.310, rel. 22

Structural model:
Cell lengths 4.041, 5.210, 9.239 Å; angles 90.00, 90.00, 90.00 degrees
Sites, in units of the cell vectors:
Tm 0.000 0.000 0.000
Tm 0.000 0.500 0.500
Ga 0.000 0.000 0.315
Ga 0.000 0.000 0.685
Ga 0.000 0.500 0.167
Ga 0.000 0.500 0.833
Ga 0.500 0.000 0.500
Cu 0.500 0.253 0.249
Cu 0.500 0.253 0.751
Cu 0.500 0.500 0.000
Cu 0.500 0.747 0.249
Cu 0.500 0.747 0.751


(8)
The following is a simulated X-ray diffraction stick pattern of Dy3Zr2Pb3. It was derived from a cell relaxed with GGA-PBE, using CuKα.
No peak broadening, texture or thermal motion is included.

Peak list (8 most intense, 10° ≤ 2θ ≤ 80°, by intensity)
2θ 33.87, d 2.647, rel. 100
2θ 35.32, d 2.541, rel. 43
2θ 28.92, d 3.088, rel. 28
2θ 54.48, d 1.684, rel. 26
2θ 34.73, d 2.583, rel. 25
2θ 44.64, d 2.030, rel. 19
2θ 67.63, d 1.385, rel. 18
2θ 30.52, d 2.929, rel. 17

Structural model:
Cell lengths 8.949, 8.949, 6.176 Å; angles 90.00, 90.00, 120.00 degrees
Sites, in units of the cell vectors:
Dy 0.000 0.240 0.250
Dy 0.000 0.760 0.750
Dy 0.240 0.000 0.250
Dy 0.240 0.240 0.750
Dy 0.760 0.000 0.750
Dy 0.760 0.760 0.250
Zr 0.333 0.667 0.000
Zr 0.333 0.667 0.500
Zr 0.667 0.333 0.000
Zr 0.667 0.333 0.500
Pb 0.000 0.398 0.750
Pb 0.000 0.602 0.250
Pb 0.398 0.000 0.750
Pb 0.398 0.398 0.250
Pb 0.602 0.000 0.250
Pb 0.602 0.602 0.750


Please write out number 8 again, unchanged.
The following is a simulated X-ray diffraction stick pattern of Dy3Zr2Pb3. It was derived from a cell relaxed with GGA-PBE, using CuKα.
No peak broadening, texture or thermal motion is included.

Peak list (8 most intense, 10° ≤ 2θ ≤ 80°, by intensity)
2θ 33.87, d 2.647, rel. 100
2θ 35.32, d 2.541, rel. 43
2θ 28.92, d 3.088, rel. 28
2θ 54.48, d 1.684, rel. 26
2θ 34.73, d 2.583, rel. 25
2θ 44.64, d 2.030, rel. 19
2θ 67.63, d 1.385, rel. 18
2θ 30.52, d 2.929, rel. 17

Structural model:
Cell lengths 8.949, 8.949, 6.176 Å; angles 90.00, 90.00, 120.00 degrees
Sites, in units of the cell vectors:
Dy 0.000 0.240 0.250
Dy 0.000 0.760 0.750
Dy 0.240 0.000 0.250
Dy 0.240 0.240 0.750
Dy 0.760 0.000 0.750
Dy 0.760 0.760 0.250
Zr 0.333 0.667 0.000
Zr 0.333 0.667 0.500
Zr 0.667 0.333 0.000
Zr 0.667 0.333 0.500
Pb 0.000 0.398 0.750
Pb 0.000 0.602 0.250
Pb 0.398 0.000 0.750
Pb 0.398 0.398 0.250
Pb 0.602 0.000 0.250
Pb 0.602 0.602 0.750